(1)
Starting from a DFT-relaxed cell (GGA+U, the Materials Project), the powder XRD pattern of Sr2FeSnO6 was computed for Cu Ka.

Structural model:
a b c (Å): 8.148 16.125 8.060
angles (deg): 90.00 90.00 90.00
Space group Cmcm (No. 63)
Inequivalent atoms, fractional coordinates:
1 Sr 0.249 0.000 0.000 x8
2 Sr 0.250 0.250 0.000 x8
3 Fe 0.000 0.125 0.250 x4
4 Fe 0.000 0.375 0.750 x4
5 Sn 0.000 0.125 0.750 x4
6 Sn 0.000 0.375 0.250 x4
7 O 0.000 0.002 0.250 x4
8 O 0.000 0.124 0.005 x8
9 O 0.000 0.247 0.250 x4
10 O 0.000 0.252 0.750 x4
11 O 0.000 0.375 0.504 x8
12 O 0.000 0.498 0.750 x4
13 O 0.243 0.125 0.250 x8
14 O 0.250 0.125 0.750 x8

Largest 10 diffraction maxima, by angle, 2θ from 10° to 90°:
hkl  2θ (°)  I/Imax
2 4 0  31.22  100
0 4 2  31.39  49
4 0 0  44.48  18
0 8 0  44.98  35
4 4 2  55.44  20
2 8 2  55.77  40
4 8 0  65.11  21
0 8 4  65.50  11
2 12 0  74.37  13
4 8 4  82.64  11

---

(2)
Starting from a DFT-relaxed cell (GGA+U, the Materials Project), the powder XRD pattern of Sr3MgFe2O6 was computed for Cu Ka.

Structural model:
a b c (Å): 4.071 4.071 20.831
angles (deg): 90.00 90.00 90.00
Space group I4/mmm (No. 139)
Inequivalent atoms, fractional coordinates:
1 Sr 0.000 0.000 0.000 x2
2 Sr 0.000 0.000 0.179 x4
3 Mg 0.000 0.000 0.500 x2
4 Fe 0.000 0.000 0.384 x4
5 O 0.000 0.000 0.294 x4
6 O 0.000 0.500 0.073 x8

Largest 10 diffraction maxima, by angle, 2θ from 10° to 90°:
hkl  2θ (°)  I/Imax
0 0 6  25.66  15
1 0 5  30.71  100
1 1 0  31.07  92
1 1 6  40.72  54
2 0 0  44.51  59
1 0 9  45.06  18
1 0 11  53.36  19
1 1 10  54.36  17
2 1 5  55.05  38
2 2 0  64.77  18

---

(3)
Starting from a DFT-relaxed cell (GGA+U, the Materials Project), the powder XRD pattern of Li2VCrP2H2O10 was computed for Cu Ka.

Structural model:
a b c (Å): 5.166 7.388 15.159
angles (deg): 94.11 92.08 108.93
Space group P-1 (No. 2)
Inequivalent atoms, fractional coordinates:
1 Li 0.052 0.475 0.299 x2
2 Li 0.282 0.857 0.034 x2
3 Li 0.385 0.810 0.633 x2
4 V 0.000 0.500 0.500 x1
5 V 0.333 0.333 0.834 x2
6 Cr 0.000 0.000 0.500 x1
7 Cr 0.334 0.833 0.833 x2
8 P 0.110 0.055 0.287 x2
9 P 0.223 0.278 0.047 x2
10 P 0.442 0.387 0.620 x2
11 H 0.006 0.484 0.147 x2
12 H 0.327 0.849 0.186 x2
13 H 0.340 0.822 0.480 x2
14 O 0.009 0.855 0.235 x2
15 O 0.049 0.846 0.917 x2
16 O 0.107 0.840 0.720 x2
17 O 0.144 0.290 0.949 x2
18 O 0.155 0.544 0.817 x2
19 O 0.176 0.793 0.516 x2
20 O 0.191 0.045 0.385 x2
21 O 0.226 0.493 0.613 x2
22 O 0.287 0.489 0.416 x2
23 O 0.324 0.479 0.098 x2
24 O 0.341 0.187 0.568 x2
25 O 0.382 0.179 0.250 x2
26 O 0.440 0.173 0.054 x2
27 O 0.478 0.625 0.281 x2
28 O 0.488 0.877 0.150 x2

Largest 10 diffraction maxima, by angle, 2θ from 10° to 90°:
hkl  2θ (°)  I/Imax
0 0 3  17.63  28
1 -1 0  18.47  29
1 0 -1  18.77  36
1 0 2  22.32  20
1 -1 3  25.66  27
0 1 -4  25.85  22
1 -2 1  26.54  58
0 2 1  26.77  100
1 0 -4  29.00  68
1 0 5  35.97  29